No. 1
This entry pairs a crystal structure of Sr5Mg with its simulated XRD peak list. Radiation: Cu Kα, 1.54184 Å. Structure: a DFT-relaxed cell (PBE, Alexandria).
Peak positions follow from Bragg's law for the DFT cell and can differ from measured ones.

Main lines, low angle first (2θ from 10° to 90°):
- (1 1 -1), 2θ = 22.16°, rel. 18
- (2 0 2), 2θ = 26.94°, rel. 95
- (1 1 -2), 2θ = 27.28°, rel. 100
- (3 1 0), 2θ = 27.86°, rel. 100
- (2 0 -3), 2θ = 28.16°, rel. 17
- (0 2 0), 2θ = 40.29°, rel. 20
- (5 1 -3), 2θ = 41.68°, rel. 19
- (1 1 4), 2θ = 47.44°, rel. 25
- (5 1 2), 2θ = 48.53°, rel. 41
- (2 2 2), 2θ = 49.14°, rel. 36

Crystal structure
a = 14.557 Å, b = 4.477 Å, c = 9.569 Å
α = 90.00°, β = 109.20°, γ = 90.00°
Space group Cm (No. 8)
Asymmetric unit:
Sr (0.000, 0.000, 0.000) x2
Sr (0.024, 0.000, 0.442) x2
Sr (0.166, 0.500, 0.801) x2
Sr (0.308, 0.000, 0.159) x2
Sr (0.332, 0.000, 0.600) x2
Mg (0.166, 0.500, 0.300) x2

No. 2
This entry pairs a crystal structure of Sr2Ga2P2O with its simulated XRD peak list. Radiation: Cu Kα, 1.54184 Å. Structure: a DFT-relaxed cell (PBE, Alexandria).
Peak positions follow from Bragg's law for the DFT cell and can differ from measured ones.

Main lines, low angle first (2θ from 10° to 90°):
- (0 1 2), 2θ = 27.83°, rel. 47
- (0 2 1), 2θ = 28.46°, rel. 27
- (1 0 -1), 2θ = 30.63°, rel. 33
- (1 -1 0), 2θ = 31.00°, rel. 71
- (1 2 1), 2θ = 31.08°, rel. 38
- (-1 1 1), 2θ = 33.71°, rel. 28
- (1 2 2), 2θ = 33.84°, rel. 28
- (1 0 2), 2θ = 35.12°, rel. 100
- (0 2 -1), 2θ = 40.01°, rel. 25
- (2 1 1), 2θ = 45.60°, rel. 35

Crystal structure
a = 3.979 Å, b = 6.598 Å, c = 6.751 Å
α = 62.83°, β = 73.00°, γ = 72.68°
Space group P-1 (No. 2)
Asymmetric unit:
Sr (0.067, 0.178, 0.192) x2
Ga (0.308, 0.292, 0.592) x2
P (0.326, 0.629, 0.216) x2
O (0.500, 0.000, 0.500) x1

No. 3
This entry pairs a crystal structure of Co3Ge6Ru with its simulated XRD peak list. Radiation: Cu Kα, 1.54184 Å. Structure: a DFT-relaxed cell (PBE, Alexandria).
Peak positions follow from Bragg's law for the DFT cell and can differ from measured ones.

Main lines, low angle first (2θ from 10° to 90°):
- (0 1 2), 2θ = 20.90°, rel. 21
- (1 0 4), 2θ = 27.50°, rel. 18
- (1 1 3), 2θ = 35.47°, rel. 100
- (2 0 2), 2θ = 38.37°, rel. 15
- (2 -1 6), 2θ = 44.91°, rel. 88
- (3 0 0), 2θ = 56.68°, rel. 43
- (2 -1 9), 2θ = 57.91°, rel. 22
- (0 0 12), 2θ = 64.30°, rel. 10
- (4 -2 3), 2θ = 68.67°, rel. 13
- (2 2 6), 2θ = 75.08°, rel. 18

Crystal structure
a = 5.6263 Å, b = 5.6263 Å, c = 17.3844 Å
α = 90.00°, β = 90.00°, γ = 120.00°
Space group R3 (No. 146, hexagonal axes)
Asymmetric unit:
Co (0.0000, 0.0000, 0.0000) x3
Co (0.0000, 0.0000, 0.1603) x3
Co (0.0000, 0.0000, 0.6598) x3
Ge (0.0190, 0.3414, 0.4098) x9
Ge (0.0292, 0.6936, 0.9166) x9
Ru (0.0000, 0.0000, 0.4994) x3

No. 4
This entry pairs a crystal structure of PmNb2PbO8 with its simulated XRD peak list. Radiation: Cu Kα, 1.54184 Å. Structure: a DFT-relaxed cell (PBE, Alexandria).
Peak positions follow from Bragg's law for the DFT cell and can differ from measured ones.

Main lines, low angle first (2θ from 10° to 90°):
- (1 0 0), 2θ = 16.56°, rel. 83
- (1 0 1), 2θ = 21.17°, rel. 41
- (1 1 0), 2θ = 28.89°, rel. 100
- (0 1 2), 2θ = 31.31°, rel. 86
- (1 1 2), 2θ = 39.52°, rel. 22
- (2 0 2), 2θ = 43.12°, rel. 50
- (3 0 0), 2θ = 51.19°, rel. 20
- (1 2 2), 2θ = 52.73°, rel. 44
- (1 0 4), 2θ = 57.19°, rel. 18
- (3 1 2), 2θ = 69.10°, rel. 19

Crystal structure
a = 6.1819 Å, b = 6.1819 Å, c = 6.7563 Å
α = 90.00°, β = 90.00°, γ = 120.00°
Space group P-3m1 (No. 164)
Asymmetric unit:
Pm (0.0000, 0.0000, 0.0000) x1
Nb (0.3333, 0.6667, 0.6823) x2
Pb (0.0000, 0.0000, 0.5000) x1
O (0.1607, 0.3215, 0.7618) x6
O (0.3333, 0.6667, 0.4195) x2

No. 5
This entry pairs a crystal structure of Tm4Ni2HgRu with its simulated XRD peak list. Radiation: Cu Kα, 1.54184 Å. Structure: a DFT-relaxed cell (PBE, Alexandria).
Peak positions follow from Bragg's law for the DFT cell and can differ from measured ones.

Main lines, low angle first (2θ from 10° to 90°):
- (0 1 2), 2θ = 22.46°, rel. 10
- (1 0 4), 2θ = 25.91°, rel. 11
- (0 1 8), 2θ = 36.77°, rel. 95
- (1 1 0), 2θ = 37.16°, rel. 100
- (2 0 8), 2θ = 53.27°, rel. 33
- (1 0 16), 2θ = 65.98°, rel. 13
- (1 2 8), 2θ = 66.73°, rel. 33
- (3 0 0), 2θ = 66.98°, rel. 18
- (2 2 0), 2θ = 79.17°, rel. 11
- (2 1 16), 2θ = 89.94°, rel. 12

Crystal structure
a = 4.8395 Å, b = 4.8395 Å, c = 24.0672 Å
α = 90.00°, β = 90.00°, γ = 120.00°
Space group R-3m (No. 166, hexagonal axes)
Asymmetric unit:
Tm (0.0000, 0.0000, 0.1167) x6
Tm (0.0000, 0.0000, 0.3698) x6
Ni (0.0000, 0.0000, 0.2537) x6
Hg (0.0000, 0.0000, 0.5000) x3
Ru (0.0000, 0.0000, 0.0000) x3

No. 6
This entry pairs a crystal structure of Pr2AgPbO5 with its simulated XRD peak list. Radiation: Cu Kα, 1.54184 Å. Structure: a DFT-relaxed cell (PBE, Alexandria).
Peak positions follow from Bragg's law for the DFT cell and can differ from measured ones.

Main lines, low angle first (2θ from 10° to 90°):
- (1 1 0), 2θ = 18.19°, rel. 18
- (0 0 2), 2θ = 27.69°, rel. 40
- (2 0 1), 2θ = 29.38°, rel. 100
- (2 1 1), 2θ = 32.17°, rel. 28
- (2 2 0), 2θ = 36.86°, rel. 24
- (2 1 2), 2θ = 40.49°, rel. 24
- (3 1 1), 2θ = 43.82°, rel. 18
- (2 2 2), 2θ = 46.72°, rel. 23
- (2 0 3), 2θ = 50.03°, rel. 23
- (2 2 4), 2θ = 69.98°, rel. 12

Crystal structure
a = 6.897 Å, b = 6.897 Å, c = 6.444 Å
α = 90.00°, β = 90.00°, γ = 90.00°
Space group P4/mbm (No. 127)
Asymmetric unit:
Pr (0.175, 0.325, 0.000) x4
Ag (0.000, 0.000, 0.500) x2
Pb (0.000, 0.500, 0.500) x2
O (0.000, 0.000, 0.000) x2
O (0.142, 0.642, 0.232) x8

No. 7
This entry pairs a crystal structure of Na2AgI2Br with its simulated XRD peak list. Radiation: Cu Kα, 1.54184 Å. Structure: a DFT-relaxed cell (PBE, Alexandria).
Peak positions follow from Bragg's law for the DFT cell and can differ from measured ones.

Main lines, low angle first (2θ from 10° to 90°):
- (1 1 1), 2θ = 17.75°, rel. 74
- (3 1 0), 2θ = 19.86°, rel. 94
- (0 2 0), 2θ = 20.37°, rel. 58
- (3 1 1), 2θ = 24.01°, rel. 57
- (0 0 2), 2θ = 26.94°, rel. 100
- (3 1 2), 2θ = 33.67°, rel. 57
- (6 0 0), 2θ = 34.44°, rel. 48
- (3 3 0), 2θ = 35.36°, rel. 89
- (6 0 2), 2θ = 44.25°, rel. 41
- (3 3 2), 2θ = 45.00°, rel. 78

Crystal structure
a = 15.626 Å, b = 8.720 Å, c = 6.622 Å
α = 90.00°, β = 90.00°, γ = 90.00°
Space group Cmc2_1 (No. 36)
Asymmetric unit:
Na (0.156, 0.182, 0.000) x8
Ag (0.000, 0.336, 0.439) x4
I (0.157, 0.180, 0.506) x8
Br (0.000, 0.354, 0.012) x4

No. 8
This entry pairs a crystal structure of Ag3Te2 with its simulated XRD peak list. Radiation: Cu Kα, 1.54184 Å. Structure: a DFT-relaxed cell (PBE, Alexandria).
Peak positions follow from Bragg's law for the DFT cell and can differ from measured ones.

Main lines, low angle first (2θ from 10° to 90°):
- (2 0 0), 2θ = 25.49°, rel. 49
- (1 3 0), 2θ = 26.06°, rel. 50
- (0 0 2), 2θ = 29.98°, rel. 56
- (0 4 0), 2θ = 30.39°, rel. 48
- (1 1 2), 2θ = 33.57°, rel. 52
- (3 1 0), 2θ = 39.43°, rel. 45
- (2 0 2), 2θ = 39.75°, rel. 100
- (2 4 0), 2θ = 40.07°, rel. 91
- (0 4 2), 2θ = 43.22°, rel. 100
- (3 3 2), 2θ = 55.26°, rel. 33

Crystal structure
a = 6.989 Å, b = 11.764 Å, c = 5.960 Å
α = 90.00°, β = 90.00°, γ = 90.00°
Space group Ibam (No. 72)
Asymmetric unit:
Ag (0.000, 0.000, 0.250) x4
Ag (0.182, 0.381, 0.000) x8
Te (0.229, 0.360, 0.500) x8